[1]
Structure and calculated PXRD pattern of LiCuPO4 (a structure optimized by DFT (PBE); copper Kα).
No peak broadening, texture or thermal motion is included.

Cell and atoms:
```
LiCuPO4
1.0
3.400 -3.498 0.000
3.400 3.498 0.000
-0.081 0.000 16.385
Li Cu P O
4 4 4 16
direct
0.111 0.663 0.937
0.337 0.889 0.563
0.663 0.111 0.437
0.889 0.337 0.063
0.165 0.334 0.250
0.334 0.165 0.750
0.666 0.835 0.250
0.835 0.666 0.750
0.146 0.811 0.136
0.189 0.854 0.364
0.811 0.146 0.636
0.854 0.189 0.864
0.034 0.366 0.800
0.064 0.715 0.051
0.068 0.117 0.150
0.117 0.068 0.650
0.245 0.549 0.347
0.285 0.936 0.449
0.366 0.034 0.300
0.451 0.755 0.153
0.549 0.245 0.847
0.634 0.966 0.700
0.715 0.064 0.551
0.755 0.451 0.653
0.883 0.932 0.350
0.932 0.883 0.850
0.936 0.285 0.949
0.966 0.634 0.200
```

Most intense lines, 2θ = 5–70°, by angle:
10.80 deg, rel. 100; 18.19 deg, rel. 11; 18.97 deg, rel. 27; 28.37 deg, rel. 13; 28.48 deg, rel. 8; 30.34 deg, rel. 14; 34.19 deg, rel. 16; 34.36 deg, rel. 8; 37.27 deg, rel. 16; 42.56 deg, rel. 7

[2]
Structure and calculated PXRD pattern of Cs2H6CO6 (a structure optimized by DFT (PBE); copper Kα).
No peak broadening, texture or thermal motion is included.

Cell and atoms:
```
Cs2H6CO6
1.0
6.653 0.000 0.000
0.000 6.819 0.000
-0.100 0.000 8.952
Cs H C O
4 12 2 12
direct
0.245 0.154 0.074
0.245 0.846 0.574
0.755 0.154 0.426
0.755 0.846 0.926
0.119 0.277 0.746
0.119 0.723 0.246
0.271 0.342 0.529
0.271 0.658 0.029
0.277 0.396 0.356
0.277 0.604 0.856
0.723 0.396 0.144
0.723 0.604 0.644
0.729 0.342 0.971
0.729 0.658 0.471
0.881 0.277 0.754
0.881 0.723 0.254
0.500 0.329 0.750
0.500 0.671 0.250
0.000 0.188 0.750
0.000 0.812 0.250
0.240 0.290 0.427
0.240 0.710 0.927
0.333 0.428 0.722
0.333 0.572 0.222
0.500 0.141 0.750
0.500 0.859 0.250
0.667 0.428 0.778
0.667 0.572 0.278
0.760 0.290 0.073
0.760 0.710 0.573
```

Most intense lines, 2θ = 5–70°, by angle:
12.98 deg, rel. 42; 21.06 deg, rel. 42; 21.20 deg, rel. 65; 23.82 deg, rel. 59; 24.09 deg, rel. 20; 26.80 deg, rel. 47; 27.46 deg, rel. 21; 31.12 deg, rel. 100; 32.76 deg, rel. 66; 40.16 deg, rel. 21

[3]
Structure and calculated PXRD pattern of SrZr4P6O24 (a structure optimized by DFT (PBE); copper Kα).
No peak broadening, texture or thermal motion is included.

Cell and atoms:
```
SrZr4P6O24
1.0
4.429 2.557 7.872
-4.429 2.557 7.872
0.000 -5.114 7.872
Sr Zr P O
1 4 6 24
direct
0.000 0.000 0.000
0.150 0.150 0.150
0.356 0.356 0.356
0.644 0.644 0.644
0.850 0.850 0.850
0.032 0.755 0.457
0.245 0.543 0.968
0.457 0.032 0.755
0.543 0.968 0.245
0.755 0.457 0.032
0.968 0.245 0.543
0.001 0.202 0.388
0.087 0.907 0.269
0.093 0.731 0.913
0.145 0.244 0.520
0.187 0.569 0.456
0.202 0.388 0.001
0.244 0.520 0.145
0.269 0.087 0.907
0.388 0.001 0.202
0.431 0.544 0.813
0.456 0.187 0.569
0.480 0.855 0.756
0.520 0.145 0.244
0.544 0.813 0.431
0.569 0.456 0.187
0.612 0.999 0.798
0.731 0.913 0.093
0.756 0.480 0.855
0.798 0.612 0.999
0.813 0.431 0.544
0.855 0.756 0.480
0.907 0.269 0.087
0.913 0.093 0.731
0.999 0.798 0.612
```

Most intense lines, 2θ = 5–70°, by angle:
12.13 deg, rel. 21; 18.97 deg, rel. 47; 20.05 deg, rel. 100; 23.04 deg, rel. 79; 27.74 deg, rel. 37; 30.38 deg, rel. 98; 35.10 deg, rel. 38; 43.77 deg, rel. 20; 47.09 deg, rel. 32; 54.85 deg, rel. 28

[4]
Structure and calculated PXRD pattern of PrB3O6 (a structure optimized by DFT (PBE); copper Kα).
No peak broadening, texture or thermal motion is included.

Cell and atoms:
```
PrB3O6
1.0
4.979 -4.101 0.000
4.979 4.101 0.000
-3.906 0.000 5.178
Pr B O
2 6 12
direct
0.201 0.799 0.750
0.799 0.201 0.250
0.205 0.341 0.916
0.223 0.777 0.250
0.341 0.205 0.416
0.659 0.795 0.584
0.777 0.223 0.750
0.795 0.659 0.084
0.009 0.781 0.287
0.210 0.384 0.497
0.212 0.584 0.008
0.219 0.991 0.213
0.384 0.210 0.997
0.416 0.788 0.492
0.584 0.212 0.508
0.616 0.790 0.003
0.781 0.009 0.787
0.788 0.416 0.992
0.790 0.616 0.503
0.991 0.219 0.713
```

Most intense lines, 2θ = 5–70°, by angle:
17.45 deg, rel. 100; 21.67 deg, rel. 41; 22.36 deg, rel. 42; 27.56 deg, rel. 49; 27.81 deg, rel. 47; 28.44 deg, rel. 28; 29.18 deg, rel. 31; 31.34 deg, rel. 57; 34.68 deg, rel. 31; 43.36 deg, rel. 33

[5]
Structure and calculated PXRD pattern of Ba2InSbO6 (a structure optimized by DFT (PBE); copper Kα).
No peak broadening, texture or thermal motion is included.

Cell and atoms:
```
Ba2InSbO6
1.0
0.000 4.198 4.198
4.198 0.000 4.198
4.198 4.198 0.000
Ba In Sb O
2 1 1 6
direct
0.250 0.250 0.250
0.750 0.750 0.750
0.000 0.000 0.000
0.500 0.500 0.500
0.260 0.260 0.740
0.260 0.740 0.260
0.260 0.740 0.740
0.740 0.260 0.260
0.740 0.260 0.740
0.740 0.740 0.260
```

Most intense lines, 2θ = 5–70°, by angle:
30.11 deg, rel. 100; 37.10 deg, rel. 3; 43.10 deg, rel. 30; 53.47 deg, rel. 40; 62.59 deg, rel. 18

[6]
Structure and calculated PXRD pattern of LiNb2Te4Cl10O (a structure optimized by DFT (PBE); copper Kα).
No peak broadening, texture or thermal motion is included.

Cell and atoms:
```
LiNb2Te4Cl10O
1.0
7.399 0.000 0.000
2.078 8.061 0.000
0.027 1.158 9.486
Li Nb Te Cl O
1 2 4 10 1
direct
0.000 0.000 0.000
0.078 0.189 0.577
0.109 0.476 0.856
0.443 0.917 0.049
0.507 0.627 0.233
0.674 0.037 0.214
0.765 0.731 0.382
0.044 0.997 0.412
0.122 0.683 0.037
0.193 0.361 0.407
0.246 0.637 0.694
0.377 0.023 0.643
0.420 0.321 0.945
0.762 0.358 0.513
0.801 0.632 0.809
0.927 0.031 0.754
0.996 0.294 0.040
0.095 0.330 0.724
```

Most intense lines, 2θ = 5–70°, by angle:
14.38 deg, rel. 19; 15.30 deg, rel. 100; 20.05 deg, rel. 26; 20.58 deg, rel. 20; 22.19 deg, rel. 19; 22.86 deg, rel. 18; 25.22 deg, rel. 21; 30.98 deg, rel. 31; 33.58 deg, rel. 19; 41.13 deg, rel. 19

[7]
Structure and calculated PXRD pattern of La2ZnSe2O2 (a structure optimized by DFT (PBE); copper Kα).
No peak broadening, texture or thermal motion is included.

Cell and atoms:
```
La2ZnSe2O2
1.0
11.534 -8.994 0.000
11.534 8.994 0.000
0.000 0.000 5.777
La Zn Se O
16 8 16 16
direct
0.057 0.693 0.268
0.069 0.431 0.250
0.181 0.819 0.775
0.193 0.557 0.768
0.307 0.943 0.268
0.319 0.681 0.275
0.431 0.069 0.750
0.443 0.807 0.768
0.557 0.193 0.232
0.569 0.931 0.250
0.681 0.319 0.725
0.693 0.057 0.732
0.807 0.443 0.232
0.819 0.181 0.225
0.931 0.569 0.750
0.943 0.307 0.732
0.070 0.070 0.500
0.189 0.189 0.000
0.311 0.311 0.500
0.430 0.430 0.000
0.570 0.570 0.000
0.689 0.689 0.500
0.811 0.811 0.000
0.930 0.930 0.500
0.043 0.210 0.239
0.085 0.915 0.290
0.167 0.333 0.750
0.210 0.043 0.761
0.290 0.457 0.261
0.333 0.167 0.250
0.415 0.585 0.790
0.457 0.290 0.739
0.543 0.710 0.261
0.585 0.415 0.210
0.667 0.833 0.750
0.710 0.543 0.739
0.790 0.957 0.239
0.833 0.667 0.250
0.915 0.085 0.710
0.957 0.790 0.761
0.060 0.565 0.005
0.065 0.560 0.505
0.187 0.688 0.024
0.188 0.687 0.524
0.312 0.813 0.024
0.313 0.812 0.524
0.435 0.940 0.005
0.440 0.935 0.505
0.560 0.065 0.495
0.565 0.060 0.995
0.687 0.188 0.476
0.688 0.187 0.976
0.812 0.313 0.476
0.813 0.312 0.976
0.935 0.440 0.495
0.940 0.435 0.995
```

Most intense lines, 2θ = 5–70°, by angle:
9.83 deg, rel. 8; 29.56 deg, rel. 100; 30.99 deg, rel. 28; 32.58 deg, rel. 9; 37.01 deg, rel. 16; 37.21 deg, rel. 7; 44.39 deg, rel. 27; 46.09 deg, rel. 8; 51.52 deg, rel. 24; 54.24 deg, rel. 34

[8]
Structure and calculated PXRD pattern of MgSb2O4 (a structure optimized by DFT (PBE); copper Kα).
No peak broadening, texture or thermal motion is included.

Cell and atoms:
```
MgSb2O4
1.0
6.982 0.000 0.000
0.000 9.984 0.000
-0.187 0.000 7.123
Mg Sb O
4 8 16
direct
0.025 0.000 0.369
0.310 0.014 0.791
0.690 0.514 0.209
0.975 0.500 0.631
0.050 0.709 0.215
0.060 0.328 0.234
0.368 0.709 0.586
0.395 0.333 0.892
0.605 0.833 0.108
0.632 0.209 0.414
0.940 0.828 0.766
0.950 0.209 0.785
0.093 0.081 0.615
0.112 0.915 0.951
0.116 0.665 0.733
0.150 0.355 0.723
0.199 0.829 0.416
0.209 0.217 0.040
0.468 0.858 0.731
0.489 0.171 0.780
0.511 0.671 0.220
0.532 0.358 0.269
0.791 0.717 0.960
0.801 0.329 0.584
0.850 0.855 0.277
0.884 0.165 0.267
0.888 0.415 0.049
0.907 0.581 0.385
```

Most intense lines, 2θ = 5–70°, by angle:
17.77 deg, rel. 100; 19.69 deg, rel. 32; 20.12 deg, rel. 36; 26.57 deg, rel. 30; 28.18 deg, rel. 28; 29.76 deg, rel. 38; 32.21 deg, rel. 33; 32.48 deg, rel. 29; 33.73 deg, rel. 29; 47.01 deg, rel. 26